No. 1
The following is a simulated powder X-ray diffraction pattern of Zn7H10S2O18. It was derived from a crystal structure in the Materials Project, relaxed with PBE, using Cu Kα (weighted mean of Kα1 and Kα2).

Peak list (6 most intense, 2θ = 10–80°, by angle)
2θ (°), I (rel.)
12.5, 100
28.7, 17
32.6, 33
33.6, 28
34.3, 23
36.8, 18

Cell and atoms:
Unit cell a=5.572 b=8.166 c=9.030 alpha=67.10 beta=86.34 gamma=85.51
Positions (direct):
Zn1 0.000 0.000 0.000
Zn2 0.003 0.656 0.330
Zn3 0.467 0.647 0.608
Zn4 0.499 0.810 0.187
Zn5 0.501 0.190 0.813
Zn6 0.533 0.353 0.392
Zn7 0.997 0.344 0.670
H1 0.105 0.321 0.401
H2 0.215 0.003 0.740
H3 0.217 0.669 0.054
H4 0.229 0.888 0.399
H5 0.259 0.445 0.854
H6 0.741 0.555 0.146
H7 0.771 0.112 0.601
H8 0.783 0.331 0.946
H9 0.785 0.997 0.260
H10 0.895 0.679 0.599
S1 0.289 0.214 0.182
S2 0.711 0.786 0.818
O1 0.103 0.141 0.311
O2 0.181 0.402 0.438
O3 0.191 0.095 0.785
O4 0.198 0.754 0.107
O5 0.225 0.396 0.071
O6 0.296 0.770 0.406
O7 0.298 0.436 0.749
O8 0.323 0.094 0.087
O9 0.473 0.796 0.742
O10 0.527 0.204 0.258
O11 0.677 0.906 0.913
O12 0.702 0.564 0.251
O13 0.704 0.230 0.594
O14 0.775 0.604 0.929
O15 0.802 0.246 0.893
O16 0.809 0.905 0.215
O17 0.819 0.598 0.562
O18 0.897 0.859 0.689

=====

No. 2
The following is a simulated powder X-ray diffraction pattern of ZnH2SO5. It was derived from a crystal structure in the Materials Project, relaxed with PBE, using Cu Kα (weighted mean of Kα1 and Kα2).

Peak list (6 most intense, 2θ = 10–80°, by angle)
2θ (°), I (rel.)
18.2, 27
18.5, 53
25.7, 100
26.3, 46
29.3, 43
34.8, 65

Cell and atoms:
Unit cell a=5.199 b=5.199 c=7.622 alpha=106.50 beta=106.50 gamma=96.82
Positions (direct):
Zn1 0.000 0.500 0.000
Zn2 0.500 0.000 0.500
H1 0.046 0.129 0.704
H2 0.129 0.046 0.204
H3 0.871 0.954 0.796
H4 0.954 0.871 0.296
S1 0.406 0.594 0.750
S2 0.594 0.406 0.250
O1 0.116 0.884 0.250
O2 0.274 0.682 0.899
O3 0.288 0.322 0.158
O4 0.318 0.726 0.601
O5 0.322 0.288 0.658
O6 0.678 0.712 0.342
O7 0.682 0.274 0.399
O8 0.712 0.678 0.842
O9 0.726 0.318 0.101
O10 0.884 0.116 0.750